# Li2Cu2SbO6
Simulated powder XRD pattern, Cu Kα X-rays. Input: the GGA-PBE geometry in Alexandria.

Top 10 peaks for 2θ from 10° to 80°, in order of falling intensity:
Position (°2θ)	d_spacing	intensity
17.6	5.032	100
39.0	2.308	70
50.5	1.807	49
34.5	2.597	37
66.3	1.409	17
61.9	1.500	16
64.9	1.437	16
75.6	1.258	11
26.6	3.354	10
35.7	2.516	7

```
Li2Cu2SbO6
1.0
5.195 0.000 0.000
-2.597 4.499 0.000
0.000 0.000 5.032
Li Cu Sb O
2 2 1 6
Direct
0.333 0.667 0.000
0.667 0.333 0.000
0.333 0.667 0.500
0.667 0.333 0.500
0.000 0.000 0.500
0.000 0.329 0.282
0.000 0.671 0.718
0.329 0.000 0.282
0.329 0.329 0.718
0.671 0.000 0.718
0.671 0.671 0.282
```